(1)
Diffraction record for LiMg6SbO8. The X-ray diffraction stick pattern is calculated, not measured: it uses a GGA-PBE-relaxed structure and copper Kα.
Lines closer than 0.1° are merged.

Structural model:
```
data_LiMg6SbO8
_cell_length_a 4.360
_cell_length_b 4.360
_cell_length_c 8.801
_cell_angle_alpha 90.00
_cell_angle_beta 90.00
_cell_angle_gamma 90.00
_symmetry_space_group_name_H-M 'P 4/m m m'
_symmetry_Int_Tables_number 123
_symmetry_space_group_name_Hall '-P 4 2'
loop_
_atom_site_label
_atom_site_type_symbol
_atom_site_fract_x
_atom_site_fract_y
_atom_site_fract_z
Li1 Li 0.000 0.000 0.000
Mg1 Mg 0.000 0.000 0.500
Mg2 Mg 0.000 0.500 0.259
Mg3 Mg 0.500 0.500 0.500
Sb1 Sb 0.500 0.500 0.000
O1 O 0.000 0.000 0.260
O2 O 0.000 0.500 0.000
O3 O 0.000 0.500 0.500
O4 O 0.500 0.500 0.265
```

Top 8 peaks for 2θ from 10° to 80°, in order of rising 2θ:
| 2theta | intensity | (hkl) |
| --- | --- | --- |
| 10.05 | 33 | 0 0 1 |
| 20.37 | 51 | 1 0 0 |
| 22.76 | 77 | 1 0 1 |
| 28.82 | 44 | 1 0 2 |
| 35.55 | 41 | 1 1 2 |
| 41.02 | 50 | 0 0 4 |
| 41.42 | 100 | 2 0 0 |
| 59.71 | 58 | 2 0 4 |


(2)
Diffraction record for LiMg6SbO8. The X-ray diffraction stick pattern is calculated, not measured: it uses a GGA-PBE-relaxed structure and copper Kα.
Lines closer than 0.1° are merged.

Structural model:
```
data_LiMg6SbO8
_cell_length_a 4.387
_cell_length_b 4.387
_cell_length_c 8.793
_cell_angle_alpha 90.00
_cell_angle_beta 90.00
_cell_angle_gamma 90.00
_symmetry_space_group_name_H-M 'P 4/m m m'
_symmetry_Int_Tables_number 123
_symmetry_space_group_name_Hall '-P 4 2'
loop_
_atom_site_label
_atom_site_type_symbol
_atom_site_fract_x
_atom_site_fract_y
_atom_site_fract_z
Li1 Li 0.000 0.000 0.000
Mg1 Mg 0.000 0.500 0.227
Mg2 Mg 0.500 0.500 0.000
Mg3 Mg 0.500 0.500 0.500
Sb1 Sb 0.000 0.000 0.500
O1 O 0.000 0.000 0.243
O2 O 0.000 0.500 0.000
O3 O 0.000 0.500 0.500
O4 O 0.500 0.500 0.254
```

Top 8 peaks for 2θ from 10° to 80°, in order of rising 2θ:
| 2theta | intensity | (hkl) |
| --- | --- | --- |
| 10.06 | 60 | 0 0 1 |
| 20.23 | 22 | 0 0 2 |
| 22.65 | 51 | 1 0 1 |
| 28.76 | 18 | 1 0 2 |
| 30.54 | 44 | 0 0 3 |
| 35.42 | 26 | 1 1 2 |
| 41.13 | 100 | 2 0 0 |
| 59.57 | 57 | 2 2 0 |


(3)
Diffraction record for LiMg14SbO16. The X-ray diffraction stick pattern is calculated, not measured: it uses a GGA-PBE-relaxed structure and copper Kα.
Lines closer than 0.1° are merged.

Structural model:
```
data_LiMg14SbO16
_cell_length_a 8.650
_cell_length_b 8.650
_cell_length_c 4.329
_cell_angle_alpha 90.00
_cell_angle_beta 90.00
_cell_angle_gamma 90.00
_symmetry_space_group_name_H-M 'P 4/m m m'
_symmetry_Int_Tables_number 123
_symmetry_space_group_name_Hall '-P 4 2'
loop_
_atom_site_label
_atom_site_type_symbol
_atom_site_fract_x
_atom_site_fract_y
_atom_site_fract_z
Li1 Li 0.000 0.000 0.000
Mg1 Mg 0.000 0.241 0.500
Mg2 Mg 0.000 0.500 0.000
Mg3 Mg 0.235 0.500 0.500
Mg4 Mg 0.238 0.238 0.000
Sb1 Sb 0.500 0.500 0.000
O1 O 0.000 0.000 0.500
O2 O 0.000 0.257 0.000
O3 O 0.000 0.500 0.500
O4 O 0.239 0.500 0.000
O5 O 0.252 0.252 0.500
O6 O 0.500 0.500 0.500
```

Top 8 peaks for 2θ from 10° to 80°, in order of rising 2θ:
| 2theta | intensity | (hkl) |
| --- | --- | --- |
| 10.23 | 37 | 1 0 0 |
| 22.98 | 32 | 2 1 0 |
| 31.01 | 27 | 3 0 0 |
| 35.96 | 18 | 2 2 1 |
| 41.76 | 100 | 0 0 2 |
| 60.53 | 56 | 4 0 2 |
| 72.46 | 10 | 2 2 3 |
| 76.24 | 17 | 4 4 2 |


(4)
Diffraction record for Li2MgSiO4. The X-ray diffraction stick pattern is calculated, not measured: it uses a GGA-PBE-relaxed structure and copper Kα.
Lines closer than 0.1° are merged.

Structural model:
```
data_Li2MgSiO4
_cell_length_a 10.826
_cell_length_b 5.059
_cell_length_c 6.365
_cell_angle_alpha 90.00
_cell_angle_beta 90.00
_cell_angle_gamma 90.00
_symmetry_space_group_name_H-M 'P n a 21'
_symmetry_Int_Tables_number 33
loop_
_symmetry_equiv_pos_as_xyz
'x,y,z'
'-x,-y,z+1/2'
'-x+1/2,y+1/2,z+1/2'
'x+1/2,-y+1/2,z'
loop_
_atom_site_label
_atom_site_type_symbol
_atom_site_fract_x
_atom_site_fract_y
_atom_site_fract_z
Li1 Li 0.075 0.207 0.000
Li2 Li 0.162 0.807 0.246
Mg1 Mg 0.166 0.809 0.739
Si1 Si 0.086 0.312 0.496
O1 O 0.057 0.790 0.991
O2 O 0.091 0.639 0.498
O3 O 0.160 0.202 0.703
O4 O 0.161 0.206 0.284
```

Top 8 peaks for 2θ from 10° to 80°, in order of rising 2θ:
| 2theta | intensity | (hkl) |
| --- | --- | --- |
| 21.55 | 100 | 2 0 1 |
| 22.45 | 87 | 0 1 1 |
| 32.64 | 86 | 2 0 2 |
| 33.10 | 42 | 4 0 0 |
| 33.60 | 27 | 3 1 1 |
| 35.49 | 72 | 0 2 0 |
| 48.98 | 24 | 2 2 2 |
| 58.83 | 43 | 6 0 2 |